Entry 1:
Theoretical X-ray diffraction stick pattern
Compound: KUP2S8
Radiation: λ = 1.5418 Å (Cu Kα)
Structure: a structure optimized by DFT (GGA-PBE)
Neutral-atom scattering factors, no anomalous dispersion.

Largest 10 diffraction maxima, by intensity, 2θ from 10° to 90°:
2θ = 20.6°, I 100
2θ = 34.5°, I 53
2θ = 16.9°, I 53
2θ = 47.7°, I 42
2θ = 22.6°, I 38
2θ = 29.0°, I 34
2θ = 29.7°, I 26
2θ = 51.4°, I 25
2θ = 46.7°, I 25
2θ = 35.8°, I 23

Structure:
```
KUP2S8
1.0
3.080 1.778 9.731
-3.080 1.778 9.731
0.000 -3.556 9.731
K U P S
1 1 2 8
direct
0.000 0.000 0.000 K
0.500 0.500 0.500 U
0.244 0.244 0.244 P
0.756 0.756 0.756 P
0.094 0.456 0.792 S
0.208 0.906 0.544 S
0.311 0.311 0.311 S
0.456 0.792 0.094 S
0.544 0.208 0.906 S
0.689 0.689 0.689 S
0.792 0.094 0.456 S
0.906 0.544 0.208 S
```

---

Entry 2:
Theoretical X-ray diffraction stick pattern
Compound: Be5NbCo
Radiation: λ = 1.5418 Å (Cu Kα)
Structure: a structure optimized by DFT (GGA-PBE)
Neutral-atom scattering factors, no anomalous dispersion.

Largest 10 diffraction maxima, by intensity, 2θ from 10° to 90°:
2θ = 23.4°, I 100
2θ = 37.2°, I 80
2θ = 45.0°, I 71
2θ = 25.0°, I 69
2θ = 45.3°, I 69
2θ = 26.6°, I 64
2θ = 43.0°, I 46
2θ = 42.7°, I 46
2θ = 39.4°, I 41
2θ = 16.0°, I 33

Structure:
```
Be5NbCo
1.0
7.133 0.000 0.000
0.000 4.205 0.000
0.000 0.000 8.861
Be Nb Co
20 4 4
direct
0.039 0.250 0.103 Be
0.060 0.509 0.310 Be
0.060 0.991 0.310 Be
0.083 0.750 0.516 Be
0.196 0.750 0.750 Be
0.304 0.250 0.250 Be
0.417 0.250 0.016 Be
0.440 0.009 0.810 Be
0.440 0.491 0.810 Be
0.461 0.750 0.603 Be
0.539 0.250 0.397 Be
0.560 0.509 0.190 Be
0.560 0.991 0.190 Be
0.583 0.750 0.984 Be
0.696 0.750 0.750 Be
0.804 0.250 0.250 Be
0.917 0.250 0.484 Be
0.940 0.009 0.690 Be
0.940 0.491 0.690 Be
0.961 0.750 0.897 Be
0.235 0.750 0.067 Nb
0.265 0.250 0.567 Nb
0.735 0.750 0.433 Nb
0.765 0.250 0.933 Nb
0.145 0.250 0.864 Co
0.355 0.750 0.364 Co
0.645 0.250 0.636 Co
0.855 0.750 0.136 Co
```

---

Entry 3:
Theoretical X-ray diffraction stick pattern
Compound: Tl3Ga2F9
Radiation: λ = 1.5418 Å (Cu Kα)
Structure: a structure optimized by DFT (GGA-PBE)
Neutral-atom scattering factors, no anomalous dispersion.

Largest 10 diffraction maxima, by intensity, 2θ from 10° to 90°:
2θ = 29.0°, I 100
2θ = 20.2°, I 73
2θ = 24.0°, I 54
2θ = 33.4°, I 43
2θ = 38.0°, I 34
2θ = 35.6°, I 33
2θ = 28.5°, I 29
2θ = 54.3°, I 26
2θ = 41.1°, I 23
2θ = 44.8°, I 21

Structure:
```
Tl3Ga2F9
1.0
6.160 0.000 0.000
-3.080 5.334 0.000
0.000 0.000 15.514
Tl Ga F
6 4 18
direct
0.000 0.000 0.250 Tl
0.000 0.000 0.750 Tl
0.333 0.667 0.070 Tl
0.333 0.667 0.430 Tl
0.667 0.333 0.570 Tl
0.667 0.333 0.930 Tl
0.333 0.667 0.658 Ga
0.333 0.667 0.842 Ga
0.667 0.333 0.158 Ga
0.667 0.333 0.342 Ga
0.061 0.530 0.750 F
0.183 0.366 0.598 F
0.183 0.366 0.902 F
0.183 0.817 0.598 F
0.183 0.817 0.902 F
0.366 0.183 0.098 F
0.366 0.183 0.402 F
0.470 0.530 0.750 F
0.470 0.939 0.750 F
0.530 0.061 0.250 F
0.530 0.470 0.250 F
0.634 0.817 0.598 F
0.634 0.817 0.902 F
0.817 0.183 0.098 F
0.817 0.183 0.402 F
0.817 0.634 0.098 F
0.817 0.634 0.402 F
0.939 0.470 0.250 F
```

---

Entry 4:
Theoretical X-ray diffraction stick pattern
Compound: Na2TmUTe4
Radiation: λ = 1.5418 Å (Cu Kα)
Structure: a structure optimized by DFT (GGA-PBE)
Neutral-atom scattering factors, no anomalous dispersion.

Largest 10 diffraction maxima, by intensity, 2θ from 10° to 90°:
2θ = 28.1°, I 100
2θ = 11.7°, I 45
2θ = 39.5°, I 39
2θ = 40.9°, I 25
2θ = 23.6°, I 19
2θ = 50.4°, I 13
2θ = 36.3°, I 13
2θ = 58.2°, I 13
2θ = 64.8°, I 12
2θ = 41.0°, I 12

Structure:
```
Na2TmUTe4
1.0
7.652 0.000 0.000
0.000 4.404 0.000
-2.544 0.000 7.591
Na Tm U Te
2 1 1 4
direct
0.000 0.000 0.000 Na
0.500 0.500 0.000 Na
0.000 0.500 0.500 Tm
0.500 0.000 0.500 U
0.238 0.000 0.732 Te
0.249 0.500 0.265 Te
0.751 0.500 0.735 Te
0.762 0.000 0.268 Te
```

---

Entry 5:
Theoretical X-ray diffraction stick pattern
Compound: Na2Te2As
Radiation: λ = 1.5418 Å (Cu Kα)
Structure: a structure optimized by DFT (GGA-PBE)
Neutral-atom scattering factors, no anomalous dispersion.

Largest 10 diffraction maxima, by intensity, 2θ from 10° to 90°:
2θ = 29.1°, I 100
2θ = 29.6°, I 90
2θ = 22.8°, I 83
2θ = 27.4°, I 54
2θ = 23.3°, I 51
2θ = 43.9°, I 49
2θ = 20.5°, I 44
2θ = 22.0°, I 42
2θ = 45.4°, I 28
2θ = 13.4°, I 28

Structure:
```
Na2Te2As
1.0
8.916 0.000 0.000
0.000 9.899 0.000
0.000 0.000 14.007
Na Te As
16 16 8
direct
0.075 0.132 0.377 Na
0.086 0.639 0.868 Na
0.177 0.562 0.542 Na
0.215 0.768 0.305 Na
0.285 0.232 0.805 Na
0.323 0.438 0.042 Na
0.414 0.361 0.368 Na
0.425 0.868 0.877 Na
0.575 0.368 0.623 Na
0.586 0.861 0.132 Na
0.677 0.938 0.458 Na
0.715 0.732 0.695 Na
0.785 0.268 0.195 Na
0.823 0.062 0.958 Na
0.914 0.139 0.632 Na
0.925 0.632 0.123 Na
0.015 0.846 0.497 Te
0.083 0.461 0.298 Te
0.102 0.955 0.789 Te
0.236 0.245 0.571 Te
0.264 0.755 0.071 Te
0.398 0.045 0.289 Te
0.417 0.539 0.798 Te
0.485 0.154 0.997 Te
0.515 0.654 0.503 Te
0.583 0.039 0.702 Te
0.602 0.545 0.211 Te
0.736 0.255 0.429 Te
0.764 0.745 0.929 Te
0.898 0.455 0.711 Te
0.917 0.961 0.202 Te
0.985 0.346 0.003 Te
0.110 0.979 0.059 As
0.219 0.847 0.635 As
0.281 0.153 0.135 As
0.390 0.021 0.559 As
0.610 0.521 0.941 As
0.719 0.653 0.365 As
0.781 0.347 0.865 As
0.890 0.479 0.441 As
```

---

Entry 6:
Theoretical X-ray diffraction stick pattern
Compound: Hg7Pb5
Radiation: λ = 1.5418 Å (Cu Kα)
Structure: a structure optimized by DFT (GGA-PBE)
Neutral-atom scattering factors, no anomalous dispersion.

Largest 10 diffraction maxima, by intensity, 2θ from 10° to 90°:
2θ = 31.6°, I 100
2θ = 32.7°, I 91
2θ = 36.3°, I 70
2θ = 54.6°, I 42
2θ = 61.7°, I 30
2θ = 63.7°, I 27
2θ = 39.3°, I 27
2θ = 50.8°, I 14
2θ = 66.0°, I 12
2θ = 53.7°, I 11

Structure:
```
Hg7Pb5
1.0
3.596 0.000 0.000
0.000 10.237 0.000
0.000 0.000 9.171
Hg Pb
7 5
direct
0.000 0.000 0.000 Hg
0.000 0.000 0.483 Hg
0.000 0.329 0.979 Hg
0.000 0.671 0.979 Hg
0.500 0.159 0.228 Hg
0.500 0.500 0.733 Hg
0.500 0.841 0.228 Hg
0.000 0.327 0.476 Pb
0.000 0.673 0.476 Pb
0.500 0.165 0.742 Pb
0.500 0.500 0.213 Pb
0.500 0.835 0.742 Pb
```

---

Entry 7:
Theoretical X-ray diffraction stick pattern
Compound: Pm5Sm3Ho2
Radiation: λ = 1.5418 Å (Cu Kα)
Structure: a structure optimized by DFT (GGA-PBE)
Neutral-atom scattering factors, no anomalous dispersion.

Largest 10 diffraction maxima, by intensity, 2θ from 10° to 90°:
2θ = 30.9°, I 100
2θ = 29.4°, I 96
2θ = 33.2°, I 46
2θ = 36.0°, I 23
2θ = 32.0°, I 22
2θ = 48.8°, I 22
2θ = 68.7°, I 18
2θ = 57.9°, I 17
2θ = 34.1°, I 17
2θ = 46.7°, I 15

Structure:
```
Pm5Sm3Ho2
1.0
5.397 -7.493 0.000
5.397 7.493 0.000
-5.376 0.000 8.430
Pm Sm Ho
10 6 4
direct
0.020 0.980 0.750 Pm
0.135 0.384 0.765 Pm
0.272 0.728 0.250 Pm
0.384 0.135 0.265 Pm
0.477 0.523 0.250 Pm
0.523 0.477 0.750 Pm
0.616 0.865 0.735 Pm
0.728 0.272 0.750 Pm
0.865 0.616 0.235 Pm
0.980 0.020 0.250 Pm
0.023 0.275 0.055 Sm
0.229 0.771 0.750 Sm
0.275 0.023 0.555 Sm
0.725 0.977 0.445 Sm
0.771 0.229 0.250 Sm
0.977 0.725 0.945 Sm
0.219 0.469 0.445 Ho
0.469 0.219 0.945 Ho
0.531 0.781 0.055 Ho
0.781 0.531 0.555 Ho
```

---

Entry 8:
Theoretical X-ray diffraction stick pattern
Compound: Na3Tl2Pd3
Radiation: λ = 1.5418 Å (Cu Kα)
Structure: a structure optimized by DFT (GGA-PBE)
Neutral-atom scattering factors, no anomalous dispersion.

Largest 10 diffraction maxima, by intensity, 2θ from 10° to 90°:
2θ = 20.4°, I 100
2θ = 35.7°, I 42
2θ = 41.5°, I 37
2θ = 34.9°, I 30
2θ = 43.6°, I 26
2θ = 32.3°, I 24
2θ = 37.7°, I 20
2θ = 59.8°, I 19
2θ = 51.1°, I 18
2θ = 41.9°, I 18

Structure:
```
Na3Tl2Pd3
1.0
2.773 1.601 6.875
-2.773 1.601 6.875
0.000 -3.203 6.875
Na Tl Pd
3 2 3
direct
0.000 0.000 0.000 Na
0.431 0.431 0.431 Na
0.569 0.569 0.569 Na
0.278 0.278 0.278 Tl
0.722 0.722 0.722 Tl
0.000 0.000 0.500 Pd
0.000 0.500 0.000 Pd
0.500 0.000 0.000 Pd
```

---

What did the second record say?
Theoretical X-ray diffraction stick pattern
Compound: Be5NbCo
Radiation: λ = 1.5418 Å (Cu Kα)
Structure: a structure optimized by DFT (GGA-PBE)
Neutral-atom scattering factors, no anomalous dispersion.

Largest 10 diffraction maxima, by intensity, 2θ from 10° to 90°:
2θ = 23.4°, I 100
2θ = 37.2°, I 80
2θ = 45.0°, I 71
2θ = 25.0°, I 69
2θ = 45.3°, I 69
2θ = 26.6°, I 64
2θ = 43.0°, I 46
2θ = 42.7°, I 46
2θ = 39.4°, I 41
2θ = 16.0°, I 33

Structure:
```
Be5NbCo
1.0
7.133 0.000 0.000
0.000 4.205 0.000
0.000 0.000 8.861
Be Nb Co
20 4 4
direct
0.039 0.250 0.103 Be
0.060 0.509 0.310 Be
0.060 0.991 0.310 Be
0.083 0.750 0.516 Be
0.196 0.750 0.750 Be
0.304 0.250 0.250 Be
0.417 0.250 0.016 Be
0.440 0.009 0.810 Be
0.440 0.491 0.810 Be
0.461 0.750 0.603 Be
0.539 0.250 0.397 Be
0.560 0.509 0.190 Be
0.560 0.991 0.190 Be
0.583 0.750 0.984 Be
0.696 0.750 0.750 Be
0.804 0.250 0.250 Be
0.917 0.250 0.484 Be
0.940 0.009 0.690 Be
0.940 0.491 0.690 Be
0.961 0.750 0.897 Be
0.235 0.750 0.067 Nb
0.265 0.250 0.567 Nb
0.735 0.750 0.433 Nb
0.765 0.250 0.933 Nb
0.145 0.250 0.864 Co
0.355 0.750 0.364 Co
0.645 0.250 0.636 Co
0.855 0.750 0.136 Co
```